(1)
# TcCl
Calculated XRD peak list, Cu Ka. Input: a DFT-relaxed cell (GGA-PBE, Alexandria).

Structure:
Unit cell a=10.1382 b=10.1382 c=3.2346 alpha=90.00 beta=90.00 gamma=90.00
Space group P4/m (No. 83)
Symmetry-distinct sites (fractional):
Tc: 0.0815 0.6145 0.0000 x4
Tc: 0.0993 0.4051 0.5000 x4
Cl: 0.1774 0.8007 0.5000 x4
Cl: 0.2854 0.4881 0.0000 x4

Most intense lines, 10 to 80 degrees two-theta, by intensity:
Position (°2θ), I/Imax, index
12.35, 100, 1 1 0
42.60, 44, 2 3 1
34.05, 24, 2 1 1
45.63, 18, 5 1 0
53.32, 9, 3 4 1
35.42, 8, 4 0 0
75.82, 7, 5 1 2
46.39, 6, 1 4 1
31.83, 6, 3 2 0
17.50, 6, 2 0 0


(2)
# MgAs4P6
Calculated XRD peak list, Cu Ka. Input: a DFT-relaxed cell (GGA-PBE, Alexandria).

Structure:
Unit cell a=3.1198 b=7.5858 c=18.6218 alpha=90.00 beta=90.00 gamma=90.00
Space group Amm2 (No. 38)
Symmetry-distinct sites (fractional):
Mg: 0.0000 0.0000 0.0000 x2
As: 0.0000 0.0000 0.7033 x2
As: 0.5000 0.0000 0.1753 x2
As: 0.5000 0.1772 0.4152 x4
P: 0.0000 0.0000 0.5730 x2
P: 0.0000 0.1686 0.2486 x4
P: 0.5000 0.0000 0.8840 x2
P: 0.5000 0.2170 0.5415 x4

Most intense lines, 10 to 80 degrees two-theta, by intensity:
Position (°2θ), I/Imax, index
35.81, 100, 0 3 1
19.06, 89, 0 0 4
25.36, 87, 0 2 2
46.48, 79, 1 3 1
30.21, 70, 1 0 2
34.27, 69, 1 1 3
48.61, 63, 1 3 3
34.61, 59, 1 0 4
28.76, 55, 0 0 6
38.63, 50, 0 0 8


Copy entry 1 word for word.
# TcCl
Calculated XRD peak list, Cu Ka. Input: a DFT-relaxed cell (GGA-PBE, Alexandria).

Structure:
Unit cell a=10.1382 b=10.1382 c=3.2346 alpha=90.00 beta=90.00 gamma=90.00
Space group P4/m (No. 83)
Symmetry-distinct sites (fractional):
Tc: 0.0815 0.6145 0.0000 x4
Tc: 0.0993 0.4051 0.5000 x4
Cl: 0.1774 0.8007 0.5000 x4
Cl: 0.2854 0.4881 0.0000 x4

Most intense lines, 10 to 80 degrees two-theta, by intensity:
Position (°2θ), I/Imax, index
12.35, 100, 1 1 0
42.60, 44, 2 3 1
34.05, 24, 2 1 1
45.63, 18, 5 1 0
53.32, 9, 3 4 1
35.42, 8, 4 0 0
75.82, 7, 5 1 2
46.39, 6, 1 4 1
31.83, 6, 3 2 0
17.50, 6, 2 0 0


What is the formula in the first record?
TcCl